Entry 1:
Computed powder diffractogram of Pa4Ga16Pt3 for Cu Kα X-rays, from the GGA-PBE geometry in Alexandria.
Peak positions follow from Bragg's law for the DFT cell and can differ from measured ones.

```
data_Pa4Ga16Pt3
_cell_length_a 6.233
_cell_length_b 6.233
_cell_length_c 11.122
_cell_angle_alpha 90.00
_cell_angle_beta 90.00
_cell_angle_gamma 90.00
_symmetry_space_group_name_H-M 'P 4/m m m'
_symmetry_Int_Tables_number 123
_symmetry_space_group_name_Hall '-P 4 2'
loop_
_atom_site_label
_atom_site_type_symbol
_atom_site_fract_x
_atom_site_fract_y
_atom_site_fract_z
Pa1 Pa 0.000 0.500 0.189
Ga1 Ga 0.000 0.000 0.199
Ga2 Ga 0.211 0.211 0.000
Ga3 Ga 0.245 0.245 0.375
Ga4 Ga 0.500 0.500 0.230
Pt1 Pt 0.000 0.500 0.500
Pt2 Pt 0.500 0.500 0.000
```

Most intense lines, 15 to 90 degrees two-theta, by angle:
2θ/deg  intensity  h k l
20.1  413  1 1 0
28.6  247  2 0 0
31.5  709  1 1 3
37.7  1000  2 0 3
40.5  201  0 0 5
41.0  762  2 2 0
43.6  247  2 0 4
52.6  325  3 1 3
59.3  243  4 0 0
72.4  260  4 2 3


Entry 2:
Computed powder diffractogram of DyTmAu for Cu Kα X-rays, from the GGA-PBE geometry in Alexandria.
Peak positions follow from Bragg's law for the DFT cell and can differ from measured ones.

```
data_DyTmAu
_cell_length_a 7.099
_cell_length_b 4.920
_cell_length_c 8.857
_cell_angle_alpha 90.00
_cell_angle_beta 90.00
_cell_angle_gamma 90.00
_symmetry_space_group_name_H-M 'P n m a'
_symmetry_Int_Tables_number 62
_symmetry_space_group_name_Hall '-P 2ac 2n'
loop_
_atom_site_label
_atom_site_type_symbol
_atom_site_fract_x
_atom_site_fract_y
_atom_site_fract_z
Dy1 Dy 0.014 0.250 0.177
Tm1 Tm 0.148 0.250 0.580
Au1 Au 0.245 0.250 0.901
```

Most intense lines, 15 to 90 degrees two-theta, by angle:
2θ/deg  intensity  h k l
29.9  681  1 1 2
31.1  293  2 1 0
32.3  223  2 0 2
32.7  1000  2 1 1
35.5  772  0 1 3
36.5  658  0 2 0
43.4  215  3 0 2
43.7  214  3 1 1
43.9  270  2 1 3
68.9  212  2 0 6